Structure and calculated X-ray diffraction stick pattern of Ce2GaGe6Rh (the PBE geometry in Alexandria; Cu Kα, 1.54184 Å).
Lines closer than 0.1° are merged.

Most intense lines, 2θ = 15–90°, in order of rising 2θ:
hkl 1 0 2, 2θ 25.11, I 41; hkl 1 2 1, 2θ 28.20, I 100; hkl 0 2 2, 2θ 29.06, I 76; hkl 1 2 2, 2θ 33.10, I 60; hkl 2 0 2, 2θ 37.22, I 99; hkl 2 2 0, 2θ 38.12, I 56; hkl 1 2 3, 2θ 40.09, I 29; hkl 1 0 4, 2θ 43.02, I 23; hkl 0 4 0, 2θ 43.21, I 56; hkl 2 4 2, 2θ 58.32, I 48

Structure:
```
Ce2GaGe6Rh
1.0
5.716 0.000 0.000
0.000 8.375 0.000
0.000 0.000 9.043
Ce Ga Ge Rh
4 2 12 2
Direct
0.250 0.008 0.206
0.250 0.492 0.206
0.750 0.508 0.794
0.750 0.992 0.794
0.250 0.750 0.843
0.750 0.250 0.157
0.011 0.250 0.476
0.036 0.250 0.957
0.250 0.534 0.645
0.250 0.966 0.645
0.464 0.250 0.957
0.489 0.250 0.476
0.511 0.750 0.524
0.536 0.750 0.043
0.750 0.034 0.355
0.750 0.466 0.355
0.964 0.750 0.043
0.989 0.750 0.524
0.250 0.250 0.708
0.750 0.750 0.292
```